Diffraction record for Ba6Ca2Ir3RuO18. The powder diffraction line list is computed, not measured: it uses a cell relaxed with GGA-PBE and Cu Ka.

The 10 most intense peaks (2θ from 10° to 90°), in order of rising 2θ:
hkl 0 1 1, 2θ = 18.17°, I 21
hkl 0 1 3, 2θ = 25.06°, I 14
hkl 1 1 0, 2θ = 29.89°, I 100
hkl 1 0 5, 2θ = 35.19°, I 19
hkl 2 0 4, 2θ = 42.77°, I 18
hkl 0 1 7, 2θ = 46.82°, I 24
hkl 3 0 0, 2θ = 53.06°, I 28
hkl 2 0 7, 2θ = 56.55°, I 19
hkl 2 2 0, 2θ = 62.10°, I 16
hkl 4 1 0, 2θ = 86.04°, I 19

Cell and atoms:
Unit cell a=5.9780 b=5.9780 c=14.6535 alpha=90.00 beta=90.00 gamma=120.00
Space group P3m1 (No. 156)
One atom of each set of equivalent atoms:
1 Ba 0.0000 0.0000 0.0000 [1 per cell]
2 Ba 0.0000 0.0000 0.3185 [1 per cell]
3 Ba 0.3333 0.6667 0.4992 [1 per cell]
4 Ba 0.3333 0.6667 0.8203 [1 per cell]
5 Ba 0.6667 0.3333 0.1587 [1 per cell]
6 Ba 0.6667 0.3333 0.6592 [1 per cell]
7 Ca 0.6667 0.3333 0.4095 [1 per cell]
8 Ca 0.6667 0.3333 0.9098 [1 per cell]
9 Ir 0.0000 0.0000 0.5722 [1 per cell]
10 Ir 0.0000 0.0000 0.7462 [1 per cell]
11 Ir 0.3333 0.6667 0.0741 [1 per cell]
12 Ru 0.3333 0.6667 0.2466 [1 per cell]
13 O 0.0245 0.5123 0.9985 [3 per cell]
14 O 0.0250 0.5125 0.3193 [3 per cell]
15 O 0.1560 0.3120 0.6592 [3 per cell]
16 O 0.1764 0.3528 0.1591 [3 per cell]
17 O 0.3093 0.1547 0.4968 [3 per cell]
18 O 0.3093 0.1546 0.8210 [3 per cell]

***

Diffraction record for AuSe. The powder diffraction line list is computed, not measured: it uses a cell relaxed with GGA-PBE and Cu Ka.

The 10 most intense peaks (2θ from 10° to 90°), in order of rising 2θ:
hkl 0 0 1, 2θ = 10.22°, I 38
hkl 2 0 1, 2θ = 19.26°, I 22
hkl 2 0 -2, 2θ = 22.62°, I 26
hkl 0 0 3, 2θ = 30.99°, I 38
hkl 1 1 -2, 2θ = 31.24°, I 21
hkl 3 1 0, 2θ = 32.11°, I 100
hkl 3 1 -1, 2θ = 32.38°, I 36
hkl 0 2 0, 2θ = 47.98°, I 21
hkl 3 1 3, 2θ = 48.37°, I 38
hkl 3 1 -4, 2θ = 49.71°, I 21

Cell and atoms:
Unit cell a=12.588 b=3.793 c=8.835 alpha=90.00 beta=101.51 gamma=90.00
Space group C2/m (No. 12)
One atom of each set of equivalent atoms:
1 Au 0.032 0.000 0.287 [4 per cell]
2 Au 0.149 0.500 0.017 [4 per cell]
3 Se 0.104 0.500 0.732 [4 per cell]
4 Se 0.167 0.500 0.301 [4 per cell]

***

Diffraction record for PrCo3Ni2. The powder diffraction line list is computed, not measured: it uses a cell relaxed with GGA-PBE and Cu Ka.

The 10 most intense peaks (2θ from 10° to 90°), in order of rising 2θ:
hkl 1 0 1, 2θ = 30.43°, I 44
hkl 1 1 0, 2θ = 36.10°, I 32
hkl 2 0 0, 2θ = 41.93°, I 33
hkl 1 1 1, 2θ = 42.76°, I 100
hkl 0 0 2, 2θ = 45.18°, I 27
hkl 1 1 2, 2θ = 59.14°, I 15
hkl 2 0 2, 2θ = 63.33°, I 18
hkl 3 0 1, 2θ = 69.50°, I 22
hkl 2 2 0, 2θ = 76.59°, I 15
hkl 1 1 3, 2θ = 81.72°, I 14

Cell and atoms:
Unit cell a=4.9760 b=4.9760 c=4.0142 alpha=90.00 beta=90.00 gamma=120.00
Space group P6/mmm (No. 191)
One atom of each set of equivalent atoms:
1 Pr 0.0000 0.0000 0.0000 [1 per cell]
2 Co 0.0000 0.5000 0.5000 [3 per cell]
3 Ni 0.3333 0.6667 0.0000 [2 per cell]

***

Diffraction record for K4Sn23. The powder diffraction line list is computed, not measured: it uses a cell relaxed with GGA-PBE and Cu Ka.

The 10 most intense peaks (2θ from 10° to 90°), in order of rising 2θ:
hkl 2 1 0, 2θ = 15.66°, I 46
hkl 2 1 1, 2θ = 17.16°, I 31
hkl 2 2 2, 2θ = 24.37°, I 34
hkl 3 2 0, 2θ = 25.38°, I 32
hkl 3 2 1, 2θ = 26.35°, I 100
hkl 4 1 0, 2θ = 29.10°, I 32
hkl 5 3 0, 2θ = 41.62°, I 93
hkl 5 3 1, 2θ = 42.25°, I 31
hkl 6 0 0, 2θ = 42.88°, I 29
hkl 5 3 2, 2θ = 44.12°, I 61

Cell and atoms:
Unit cell a=12.654 b=12.654 c=12.654 alpha=90.00 beta=90.00 gamma=90.00
Space group Pm-3n (No. 223)
One atom of each set of equivalent atoms:
1 K 0.000 0.000 0.000 [2 per cell]
2 K 0.000 0.250 0.500 [6 per cell]
3 Sn 0.000 0.308 0.118 [24 per cell]
4 Sn 0.000 0.500 0.250 [6 per cell]
5 Sn 0.184 0.184 0.184 [16 per cell]

***

Diffraction record for BaSb12Ru4. The powder diffraction line list is computed, not measured: it uses a cell relaxed with GGA-PBE and Cu Ka.

The 10 most intense peaks (2θ from 10° to 90°), in order of rising 2θ:
hkl 3 1 0, 2θ = 29.94°, I 100
hkl 3 2 1, 2θ = 35.59°, I 42
hkl 4 2 0, 2θ = 42.85°, I 24
hkl 4 2 2, 2θ = 47.18°, I 31
hkl 4 1 3, 2θ = 49.23°, I 29
hkl 5 0 3, 2θ = 56.89°, I 11
hkl 6 3 1, 2θ = 67.28°, I 18
hkl 7 0 3, 2θ = 76.93°, I 9
hkl 6 6 0, 2θ = 87.75°, I 15
hkl 7 3 4, 2θ = 89.28°, I 10

Cell and atoms:
Unit cell a=9.438 b=9.438 c=9.438 alpha=90.00 beta=90.00 gamma=90.00
Space group Im-3 (No. 204)
One atom of each set of equivalent atoms:
1 Ba 0.000 0.000 0.000 [2 per cell]
2 Sb 0.000 0.160 0.344 [24 per cell]
3 Ru 0.250 0.250 0.250 [8 per cell]

***

Diffraction record for Fe3Si. The powder diffraction line list is computed, not measured: it uses a cell relaxed with GGA-PBE and Cu Ka.

The 10 most intense peaks (2θ from 10° to 90°), in order of rising 2θ:
hkl 0 0 1, 2θ = 16.09°, I 5
hkl 1 0 0, 2θ = 31.55°, I 3
hkl 0 0 2, 2θ = 32.52°, I 1
hkl 1 0 1, 2θ = 35.61°, I 7
hkl 1 1 0, 2θ = 45.22°, I 53
hkl 1 0 2, 2θ = 45.94°, I 100
hkl 2 0 0, 2θ = 65.88°, I 16
hkl 0 0 4, 2θ = 68.10°, I 7
hkl 2 1 2, 2θ = 84.02°, I 30
hkl 1 1 4, 2θ = 85.57°, I 14

Cell and atoms:
Unit cell a=2.836 b=2.836 c=5.507 alpha=90.00 beta=90.00 gamma=90.00
Space group P4/mmm (No. 123)
One atom of each set of equivalent atoms:
1 Fe 0.000 0.000 0.000 [1 per cell]
2 Fe 0.500 0.500 0.258 [2 per cell]
3 Si 0.000 0.000 0.500 [1 per cell]

***

Diffraction record for SiPd2. The powder diffraction line list is computed, not measured: it uses a cell relaxed with GGA-PBE and Cu Ka.

The 10 most intense peaks (2θ from 10° to 90°), in order of rising 2θ:
hkl 1 1 0, 2θ = 27.26°, I 18
hkl 1 1 1, 2θ = 37.55°, I 100
hkl 2 0 1, 2θ = 40.90°, I 35
hkl 2 1 0, 2θ = 42.20°, I 37
hkl 3 0 0, 2θ = 48.18°, I 22
hkl 0 0 2, 2θ = 51.99°, I 15
hkl 3 1 1, 2θ = 65.00°, I 12
hkl 2 1 2, 2θ = 69.11°, I 17
hkl 3 0 2, 2θ = 73.59°, I 12
hkl 3 2 1, 2θ = 78.43°, I 17

Cell and atoms:
Unit cell a=6.5429 b=6.5429 c=3.5176 alpha=90.00 beta=90.00 gamma=120.00
Space group P-62m (No. 189)
One atom of each set of equivalent atoms:
1 Si 0.0000 0.0000 0.0000 [1 per cell]
2 Si 0.3333 0.6667 0.5000 [2 per cell]
3 Pd 0.0000 0.2654 0.5000 [3 per cell]
4 Pd 0.0000 0.6061 0.0000 [3 per cell]

***

Diffraction record for NaScP2O7. The powder diffraction line list is computed, not measured: it uses a cell relaxed with GGA-PBE and Cu Ka.

The 10 most intense peaks (2θ from 10° to 90°), in order of rising 2θ:
hkl 1 0 0, 2θ = 10.96°, I 24
hkl 0 0 2, 2θ = 14.51°, I 13
hkl 1 1 -2, 2θ = 21.64°, I 100
hkl 2 0 0, 2θ = 22.02°, I 55
hkl 2 1 -2, 2θ = 26.38°, I 26
hkl 1 1 -4, 2θ = 31.25°, I 51
hkl 2 0 2, 2θ = 31.44°, I 28
hkl 0 2 0, 2θ = 33.42°, I 29
hkl 3 1 -2, 2θ = 34.35°, I 26
hkl 3 0 2, 2θ = 42.18°, I 14

Cell and atoms:
Unit cell a=8.968 b=5.363 c=13.566 alpha=90.00 beta=115.81 gamma=90.00
Space group P2_1/c (No. 14)
One atom of each set of equivalent atoms:
1 Na 0.049 0.231 0.190 [4 per cell]
2 Sc 0.240 0.238 0.973 [4 per cell]
3 P 0.181 0.724 0.116 [4 per cell]
4 P 0.332 0.746 0.353 [4 per cell]
5 O 0.024 0.727 0.633 [4 per cell]
6 O 0.191 0.050 0.588 [4 per cell]
7 O 0.202 0.595 0.538 [4 per cell]
8 O 0.228 0.538 0.865 [4 per cell]
9 O 0.245 0.005 0.847 [4 per cell]
10 O 0.335 0.719 0.735 [4 per cell]
11 O 0.489 0.246 0.564 [4 per cell]

***

Diffraction record for PrAlNi. The powder diffraction line list is computed, not measured: it uses a cell relaxed with GGA-PBE and Cu Ka.

The 10 most intense peaks (2θ from 10° to 90°), in order of rising 2θ:
hkl 0 0 1, 2θ = 21.79°, I 24
hkl 1 1 0, 2θ = 25.16°, I 30
hkl 2 0 0, 2θ = 29.13°, I 33
hkl 1 1 1, 2θ = 33.52°, I 91
hkl 2 0 1, 2θ = 36.67°, I 100
hkl 2 1 0, 2θ = 38.86°, I 31
hkl 0 0 2, 2θ = 44.42°, I 24
hkl 3 1 0, 2θ = 53.95°, I 34
hkl 3 1 1, 2θ = 58.83°, I 34
hkl 3 1 2, 2θ = 72.35°, I 18

Cell and atoms:
Unit cell a=7.0801 b=7.0801 c=4.0785 alpha=90.00 beta=90.00 gamma=120.00
Space group P-62m (No. 189)
One atom of each set of equivalent atoms:
1 Pr 0.0000 0.5810 0.0000 [3 per cell]
2 Al 0.0000 0.2265 0.5000 [3 per cell]
3 Ni 0.0000 0.0000 0.0000 [1 per cell]
4 Ni 0.3333 0.6667 0.5000 [2 per cell]

***

Diffraction record for In11C2N10. The powder diffraction line list is computed, not measured: it uses a cell relaxed with GGA-PBE and Cu Ka.

The 10 most intense peaks (2θ from 10° to 90°), in order of rising 2θ:
hkl 2 1 0, 2θ = 12.72°, I 16
hkl 4 0 0, 2θ = 22.85°, I 16
hkl 4 2 0, 2θ = 25.59°, I 26
hkl 5 1 0, 2θ = 29.26°, I 28
hkl 5 2 0, 2θ = 30.94°, I 25
hkl 3 1 1, 2θ = 31.10°, I 34
hkl 3 2 1, 2θ = 32.69°, I 100
hkl 4 1 1, 2θ = 34.72°, I 16
hkl 5 5 0, 2θ = 41.00°, I 16
hkl 7 1 1, 2θ = 48.70°, I 20

Cell and atoms:
Unit cell a=15.565 b=15.565 c=3.544 alpha=90.00 beta=90.00 gamma=90.00
Space group P4_2/mnm (No. 136)
One atom of each set of equivalent atoms:
1 In 0.000 0.000 0.000 [2 per cell]
2 In 0.032 0.197 0.500 [8 per cell]
3 In 0.032 0.633 0.000 [8 per cell]
4 In 0.221 0.221 0.000 [4 per cell]
5 C 0.161 0.839 0.000 [4 per cell]
6 N 0.063 0.063 0.500 [4 per cell]
7 N 0.104 0.606 0.500 [8 per cell]
8 N 0.106 0.894 0.000 [4 per cell]
9 N 0.218 0.782 0.000 [4 per cell]